# Ba5Ga4Se10
Simulated powder XRD pattern, Cu Ka. Input: a structure optimized by DFT (PBE).

Cell lengths 9.4512, 8.9406, 9.5546 Å; angles 61.36, 56.12, 62.52 degrees
Fractional coordinates of all 19 atoms:
Ba: 0.0000 0.0000 0.0000
Ba: 0.4000 0.4000 0.1000
Ba: 0.5041 0.7945 0.4959
Ba: 0.7945 0.5041 0.2055
Ba: 0.9000 0.9000 0.6000
Ga: 0.1854 0.3798 0.8146
Ga: 0.3798 0.1854 0.6202
Ga: 0.4056 0.9046 0.0954
Ga: 0.9046 0.4056 0.5944
Se: 0.1525 0.1700 0.1309
Se: 0.1571 0.6456 0.8429
Se: 0.1700 0.1525 0.5466
Se: 0.3513 0.6523 0.3477
Se: 0.4534 0.8691 0.8300
Se: 0.6456 0.1571 0.3544
Se: 0.6523 0.3513 0.6487
Se: 0.6606 0.9558 0.0442
Se: 0.8691 0.4534 0.8475
Se: 0.9558 0.6606 0.3394

Main lines, sorted by position (2θ = 10–80°):
2theta  Rel. int.
23.5  25
29.1  83
29.4  100
31.4  53
31.9  40
32.2  46